Starting from a cell relaxed with GGA-PBE, the PXRD pattern of NaCaInS3O12 was simulated for Cu Kα X-rays.
Kinematic intensities with the Lorentz-polarization factor, no thermal factor.

Structure:
Lattice parameters (Å, degrees): 8.9789 8.9789 23.8504 90.00 90.00 120.00
Space group R3c (No. 161, hexagonal axes)
Asymmetric unit:
Na (0.0000, 0.0000, 0.0000) [6 per cell]
Ca (0.0000, 0.0000, 0.3521) [6 per cell]
In (0.0000, 0.0000, 0.1531) [6 per cell]
S (0.0136, 0.3075, 0.2507) [18 per cell]
O (0.0032, 0.1988, 0.9136) [18 per cell]
O (0.0328, 0.2261, 0.1981) [18 per cell]
O (0.1270, 0.4595, 0.9670) [18 per cell]
O (0.1740, 0.4813, 0.2537) [18 per cell]

Top 12 peaks for 2θ from 5° to 70°, in order of rising 2θ:
- 2θ 13.6, d 6.514, intensity 61.7
- 2θ 18.8, d 4.732, intensity 42.0
- 2θ 19.8, d 4.489, intensity 45.4
- 2θ 22.7, d 3.909, intensity 100.0
- 2θ 27.4, d 3.257, intensity 31.9
- 2θ 30.0, d 2.976, intensity 83.7
- 2θ 31.3, d 2.854, intensity 12.9
- 2θ 34.6, d 2.592, intensity 35.4
- 2θ 46.5, d 1.955, intensity 31.2
- 2θ 49.2, d 1.852, intensity 18.4
- 2θ 54.0, d 1.697, intensity 19.6
- 2θ 59.2, d 1.561, intensity 22.1